# 1
Calculated PXRD pattern
Compound: CeH14Cl3O7
Radiation: Cu Kα (λ = 1.5418 Å)
Structure: a cell relaxed with GGA-PBE
Peak positions follow from Bragg's law for the DFT cell and can differ from measured ones.

The 6 most intense peaks (5 to 70 degrees two-theta), sorted by position:
2θ/deg	I/Imax
12.75	100
13.47	75
16.60	50
20.38	54
22.90	37
40.22	37

Atomic structure:
Cell: 8.136 8.268 9.378 Å, 70.37 75.03 81.44°
Fractional coordinates of all 50 atoms:
Ce (0.000, 0.000, 0.000)
Ce (0.436, 0.365, 0.653)
H (0.042, 0.663, 0.856)
H (0.066, 0.193, 0.218)
H (0.107, 0.119, 0.634)
H (0.146, 0.650, 0.538)
H (0.146, 0.674, 0.235)
H (0.207, 0.036, 0.234)
H (0.222, 0.326, 0.425)
H (0.246, 0.691, 0.068)
H (0.320, 0.720, 0.428)
H (0.350, 0.159, 0.444)
H (0.390, 0.207, 0.016)
H (0.441, 0.757, 0.641)
H (0.460, 0.387, 0.992)
H (0.497, 0.651, 0.798)
H (0.586, 0.534, 0.279)
H (0.615, 0.998, 0.973)
H (0.660, 0.114, 0.197)
H (0.689, 0.810, 0.986)
H (0.706, 0.030, 0.574)
H (0.719, 0.301, 0.093)
H (0.730, 0.473, 0.374)
H (0.762, 0.205, 0.451)
H (0.787, 0.487, 0.684)
H (0.833, 0.302, 0.667)
H (0.839, 0.698, 0.293)
H (0.866, 0.832, 0.367)
H (0.970, 0.981, 0.673)
H (0.988, 0.593, 0.036)
Cl (0.075, 0.364, 0.824)
Cl (0.368, 0.014, 0.840)
Cl (0.428, 0.975, 0.336)
Cl (0.599, 0.559, 0.039)
Cl (0.896, 0.793, 0.595)
Cl (0.991, 0.408, 0.303)
O (0.003, 0.070, 0.709)
O (0.030, 0.696, 0.950)
O (0.110, 0.091, 0.184)
O (0.204, 0.758, 0.140)
O (0.263, 0.612, 0.491)
O (0.289, 0.245, 0.497)
O (0.440, 0.310, 0.938)
O (0.442, 0.643, 0.719)
O (0.607, 0.513, 0.384)
O (0.667, 0.153, 0.535)
O (0.722, 0.927, 0.970)
O (0.742, 0.394, 0.665)
O (0.758, 0.177, 0.123)
O (0.854, 0.821, 0.268)



# 2
Calculated PXRD pattern
Compound: Mn7Ni8Sn
Radiation: Cu Kα (λ = 1.5418 Å)
Structure: a cell relaxed with GGA-PBE
Peak positions follow from Bragg's law for the DFT cell and can differ from measured ones.

The 6 most intense peaks (5 to 70 degrees two-theta), sorted by position:
2θ/deg	I/Imax
6.46	4
33.18	2
37.98	3
43.38	99
43.73	100
63.29	30

Atomic structure:
Cell: 13.883 13.883 13.883 Å, 17.15 17.15 17.15°
Fractional coordinates of all 16 atoms:
Mn (0.000, 0.000, 0.000)
Mn (0.123, 0.123, 0.123)
Mn (0.252, 0.252, 0.252)
Mn (0.374, 0.374, 0.374)
Mn (0.626, 0.626, 0.626)
Mn (0.748, 0.748, 0.748)
Mn (0.877, 0.877, 0.877)
Ni (0.062, 0.062, 0.062)
Ni (0.191, 0.191, 0.191)
Ni (0.313, 0.313, 0.313)
Ni (0.435, 0.435, 0.435)
Ni (0.565, 0.565, 0.565)
Ni (0.687, 0.687, 0.687)
Ni (0.809, 0.809, 0.809)
Ni (0.938, 0.938, 0.938)
Sn (0.500, 0.500, 0.500)